Entry 1:
Structure and calculated powder diffraction line list of DyNp2O8 (DFT lattice parameters and positions (GGA-PBE); Cu Kα).

Principal peaks in the range 2θ from 5° to 70°, in order of falling intensity:
Position (°2θ)  Rel. int.  h k l
25.92  100.0  1 1 0
25.81  98.0  1 0 1
45.68  65.3  3 0 0
36.91  22.7  0 2 1
53.31  19.9  2 2 0
60.15  19.5  4 -3 1

Structure:
```
data_DyNp2O8
_cell_length_a 6.8741
_cell_length_b 6.8741
_cell_length_c 4.2366
_cell_angle_alpha 90.00
_cell_angle_beta 90.00
_cell_angle_gamma 120.00
_symmetry_space_group_name_H-M 'P -3'
_symmetry_Int_Tables_number 147
loop_
_symmetry_equiv_pos_as_xyz
'x,y,z'
'-x,-y,-z'
'-y,x-y,z'
'y,-x+y,-z'
'-x+y,-x,z'
'x-y,x,-z'
loop_
_atom_site_label
_atom_site_fract_x
_atom_site_fract_y
_atom_site_fract_z
Dy1 0.0000 0.0000 0.0000
Np1 0.3333 0.6667 0.7472
O1 0.1693 0.3399 0.7494
O2 0.3333 0.6667 0.2449
```

---

Entry 2:
Structure and calculated powder diffraction line list of Pr2DyNpO8 (DFT lattice parameters and positions (GGA-PBE); Cu Kα).

Principal peaks in the range 2θ from 5° to 70°, in order of falling intensity:
Position (°2θ)  Rel. int.  h k l
28.43  100.0  0 2 1
26.62  59.3  1 0 -1
28.80  49.1  1 0 1
47.90  47.8  0 4 0
32.72  45.6  1 2 0
45.14  39.7  1 2 -2

Structure:
```
data_Pr2DyNpO8
_cell_length_a 3.9564
_cell_length_b 7.6030
_cell_length_c 5.5829
_cell_angle_alpha 90.00
_cell_angle_beta 94.67
_cell_angle_gamma 90.00
_symmetry_space_group_name_H-M 'P 1 2/m 1'
_symmetry_Int_Tables_number 10
loop_
_symmetry_equiv_pos_as_xyz
'x,y,z'
'-x,-y,-z'
'-x,y,-z'
'x,-y,z'
loop_
_atom_site_label
_atom_site_fract_x
_atom_site_fract_y
_atom_site_fract_z
Pr1 0.0000 0.2426 0.0000
Dy1 0.5000 0.0000 0.5000
Np1 0.5000 0.5000 0.5000
O1 0.0079 0.0000 0.2559
O2 0.0576 0.5000 0.2858
O3 0.4649 0.2796 0.7267
```

---

Entry 3:
Structure and calculated powder diffraction line list of Dy2PuNpO8 (DFT lattice parameters and positions (GGA-PBE); Cu Kα).

Principal peaks in the range 2θ from 5° to 70°, in order of falling intensity:
Position (°2θ)  Rel. int.  h k l
28.99  100.0  1 0 1
33.56  47.0  0 0 2
28.85  33.8  1 0 -1
48.11  33.6  2 0 0
48.29  33.1  1 2 2
57.26  25.5  2 2 1

Structure:
```
data_Dy2PuNpO8
_cell_length_a 3.7799
_cell_length_b 7.5334
_cell_length_c 5.3491
_cell_angle_alpha 90.00
_cell_angle_beta 90.29
_cell_angle_gamma 90.00
_symmetry_space_group_name_H-M 'P 1 2/m 1'
_symmetry_Int_Tables_number 10
loop_
_symmetry_equiv_pos_as_xyz
'x,y,z'
'-x,-y,-z'
'-x,y,-z'
'x,-y,z'
loop_
_atom_site_label
_atom_site_fract_x
_atom_site_fract_y
_atom_site_fract_z
Dy1 0.0000 0.2504 0.0000
Pu1 0.5000 0.0000 0.5000
Np1 0.5000 0.5000 0.5000
O1 0.0023 0.0000 0.2581
O2 0.0025 0.5000 0.2655
O3 0.4979 0.2592 0.7379
```

---

Entry 4:
Structure and calculated powder diffraction line list of Rb2DyNp3O12 (DFT lattice parameters and positions (GGA-PBE); Cu Kα).

Principal peaks in the range 2θ from 5° to 70°, in order of falling intensity:
Position (°2θ)  Rel. int.  h k l
27.50  100.0  2 0 2
26.49  82.5  1 1 3
13.65  71.1  1 0 1
26.21  71.1  0 2 1
14.17  47.6  0 0 3
45.44  45.1  2 2 0

Structure:
```
data_Rb2DyNp3O12
_cell_length_a 7.9837
_cell_length_b 7.9837
_cell_length_c 18.7528
_cell_angle_alpha 90.00
_cell_angle_beta 90.00
_cell_angle_gamma 120.00
_symmetry_space_group_name_H-M 'R -3 m'
_symmetry_Int_Tables_number 166
_symmetry_space_group_name_Hall '-R 3 2"'
loop_
_atom_site_label
_atom_site_fract_x
_atom_site_fract_y
_atom_site_fract_z
Rb1 0.0000 0.0000 0.1248
Dy1 0.0000 0.0000 0.5000
Np1 0.0000 0.5000 0.0000
O1 0.0577 0.5288 0.1015
O2 0.0788 0.5394 0.3505
```

---

Entry 5:
Structure and calculated powder diffraction line list of Dy2YNpO8 (DFT lattice parameters and positions (GGA-PBE); Cu Kα).

Principal peaks in the range 2θ from 5° to 70°, in order of falling intensity:
Position (°2θ)  Rel. int.  h k l
30.99  100.0  1 1 2
24.53  56.8  0 2 0
24.97  52.4  2 0 0
47.41  40.3  1 3 2
47.91  37.3  3 1 2
35.29  29.5  2 2 0

Structure:
```
data_Dy2YNpO8
_cell_length_a 7.1322
_cell_length_b 7.2585
_cell_length_c 7.0079
_cell_angle_alpha 90.00
_cell_angle_beta 90.00
_cell_angle_gamma 90.00
_symmetry_space_group_name_H-M 'C m m m'
_symmetry_Int_Tables_number 65
_symmetry_space_group_name_Hall '-C 2 2'
loop_
_atom_site_label
_atom_site_fract_x
_atom_site_fract_y
_atom_site_fract_z
Dy1 0.0000 0.0000 0.2408
Y1 0.0000 0.5000 0.0000
Np1 0.0000 0.5000 0.5000
O1 0.0000 0.3167 0.2776
O2 0.1915 0.0000 0.0000
O3 0.2181 0.0000 0.5000
```

---

Entry 6:
Structure and calculated powder diffraction line list of DyNp2S3 (DFT lattice parameters and positions (GGA-PBE); Cu Kα).

Principal peaks in the range 2θ from 5° to 70°, in order of falling intensity:
Position (°2θ)  Rel. int.  h k l
32.41  100.0  2 0 3
27.97  99.8  2 1 0
46.48  61.2  4 0 0
55.10  33.1  4 1 3
57.81  25.7  4 2 0
55.18  16.6  2 3 0

Structure:
```
data_DyNp2S3
_cell_length_a 7.8269
_cell_length_b 5.5187
_cell_length_c 11.7156
_cell_angle_alpha 90.00
_cell_angle_beta 90.00
_cell_angle_gamma 90.00
_symmetry_space_group_name_H-M 'P n m a'
_symmetry_Int_Tables_number 62
loop_
_symmetry_equiv_pos_as_xyz
'x,y,z'
'-x,-y,-z'
'-x+1/2,-y,z+1/2'
'x+1/2,y,-z+1/2'
'x+1/2,-y+1/2,-z+1/2'
'-x+1/2,y+1/2,z+1/2'
'-x,y+1/2,-z'
'x,-y+1/2,z'
loop_
_atom_site_label
_atom_site_fract_x
_atom_site_fract_y
_atom_site_fract_z
Dy1 0.1262 0.2500 0.0824
Np1 0.1240 0.2500 0.4164
Np2 0.1250 0.2500 0.7508
S1 0.1233 0.7500 0.4153
S2 0.1245 0.7500 0.7509
S3 0.1257 0.7500 0.0833
```

---

Entry 7:
Structure and calculated powder diffraction line list of Dy4NpS7 (DFT lattice parameters and positions (GGA-PBE); Cu Kα).

Principal peaks in the range 2θ from 5° to 70°, in order of falling intensity:
Position (°2θ)  Rel. int.  h k l
24.39  100.0  2 0 -3
23.84  78.7  2 0 2
33.09  47.9  3 1 -2
31.45  38.8  3 1 -1
27.72  37.7  4 0 -1
26.21  36.9  1 1 1

Structure:
```
data_Dy4NpS7
_cell_length_a 12.8768
_cell_length_b 3.8189
_cell_length_c 11.6364
_cell_angle_alpha 90.00
_cell_angle_beta 104.66
_cell_angle_gamma 90.00
_symmetry_space_group_name_H-M 'C 1 m 1'
_symmetry_Int_Tables_number 8
loop_
_symmetry_equiv_pos_as_xyz
'x,y,z'
'x,-y,z'
'x+1/2,y+1/2,z'
'x+1/2,-y+1/2,z'
loop_
_atom_site_label
_atom_site_fract_x
_atom_site_fract_y
_atom_site_fract_z
Dy1 0.0000 0.0000 0.0000
Dy2 0.0835 0.5000 0.3898
Dy3 0.1864 0.0000 0.7673
Dy4 0.3847 0.5000 0.5791
Np1 0.2693 0.5000 0.1552
S1 0.0440 0.5000 0.6284
S2 0.1225 0.5000 0.9257
S3 0.1430 0.0000 0.2281
S4 0.2262 0.0000 0.5280
S5 0.3431 0.5000 0.7936
S6 0.3844 0.0000 0.0755
S7 0.4267 0.5000 0.3643
```

---

Entry 8:
Structure and calculated powder diffraction line list of Dy4Np2S9 (DFT lattice parameters and positions (GGA-PBE); Cu Kα).

Principal peaks in the range 2θ from 5° to 70°, in order of falling intensity:
Position (°2θ)  Rel. int.  h k l
25.65  100.0  1 1 0
24.18  94.6  0 1 4
38.93  78.0  1 1 6
44.34  45.2  1 2 4
35.54  44.6  2 0 4
45.22  44.4  3 0 0

Structure:
```
data_Dy4Np2S9
_cell_length_a 6.9467
_cell_length_b 6.9467
_cell_length_c 18.6087
_cell_angle_alpha 90.00
_cell_angle_beta 90.00
_cell_angle_gamma 120.00
_symmetry_space_group_name_H-M 'P -3 c 1'
_symmetry_Int_Tables_number 165
_symmetry_space_group_name_Hall '-P 3 2"c'
loop_
_atom_site_label
_atom_site_fract_x
_atom_site_fract_y
_atom_site_fract_z
Dy1 0.3333 0.6667 0.1837
Dy2 0.3333 0.6667 0.4837
Np1 0.0000 0.0000 0.1494
S1 0.0000 0.3010 0.2500
S2 0.0314 0.3717 0.5837
```

---

Entry 9:
Structure and calculated powder diffraction line list of DyNpTeS2 (DFT lattice parameters and positions (GGA-PBE); Cu Kα).

Principal peaks in the range 2θ from 5° to 70°, in order of falling intensity:
Position (°2θ)  Rel. int.  h k l
28.30  100.0  1 0 3
28.53  46.5  1 1 0
50.39  41.4  2 1 3
40.78  30.2  2 0 0
39.29  19.7  1 1 4
21.13  18.1  1 0 1

Structure:
```
data_DyNpTeS2
_cell_length_a 4.4249
_cell_length_b 4.4249
_cell_length_c 13.4823
_cell_angle_alpha 90.00
_cell_angle_beta 90.00
_cell_angle_gamma 90.00
_symmetry_space_group_name_H-M 'I 4 m m'
_symmetry_Int_Tables_number 107
_symmetry_space_group_name_Hall 'I 4 -2'
loop_
_atom_site_label
_atom_site_fract_x
_atom_site_fract_y
_atom_site_fract_z
Dy1 0.0000 0.0000 0.0000
Np1 0.0000 0.0000 0.2753
Te1 0.0000 0.0000 0.6419
S1 0.0000 0.5000 0.3900
```

---

Entry 10:
Structure and calculated powder diffraction line list of DyNp2Tl3S6 (DFT lattice parameters and positions (GGA-PBE); Cu Kα).

Principal peaks in the range 2θ from 5° to 70°, in order of falling intensity:
Position (°2θ)  Rel. int.  h k l
29.99  100.0  1 3 1
26.61  70.8  2 0 0
41.05  39.5  2 0 2
44.75  34.4  0 6 0
23.65  34.0  0 0 2
51.23  27.5  3 3 1

Structure:
```
data_DyNp2Tl3S6
_cell_length_a 7.0162
_cell_length_b 12.1499
_cell_length_c 7.8789
_cell_angle_alpha 90.00
_cell_angle_beta 107.25
_cell_angle_gamma 90.00
_symmetry_space_group_name_H-M 'C 1 2/m 1'
_symmetry_Int_Tables_number 12
loop_
_symmetry_equiv_pos_as_xyz
'x,y,z'
'-x,-y,-z'
'-x,y,-z'
'x,-y,z'
'x+1/2,y+1/2,z'
'-x+1/2,-y+1/2,-z'
'-x+1/2,y+1/2,-z'
'x+1/2,-y+1/2,z'
loop_
_atom_site_label
_atom_site_fract_x
_atom_site_fract_y
_atom_site_fract_z
Dy1 0.0000 0.0000 0.0000
Np1 0.0000 0.3333 0.0000
Tl1 0.0000 0.1673 0.5000
Tl2 0.0000 0.5000 0.5000
S1 0.2309 0.5000 0.1950
S2 0.2320 0.1671 0.1948
```

---

Entry 11:
Structure and calculated powder diffraction line list of DyNp2Se4 (DFT lattice parameters and positions (GGA-PBE); Cu Kα).

Principal peaks in the range 2θ from 5° to 70°, in order of falling intensity:
Position (°2θ)  Rel. int.  h k l
30.86  100.0  2 2 0
44.35  92.6  4 0 0
31.05  49.0  0 0 4
13.28  44.7  1 0 1
54.87  19.9  0 4 4
25.47  19.6  1 2 1

Structure:
```
data_DyNp2Se4
_cell_length_a 8.1671
_cell_length_b 8.2224
_cell_length_c 11.5201
_cell_angle_alpha 90.00
_cell_angle_beta 90.00
_cell_angle_gamma 90.00
_symmetry_space_group_name_H-M 'I m m a'
_symmetry_Int_Tables_number 74
_symmetry_space_group_name_Hall '-I 2b 2'
loop_
_atom_site_label
_atom_site_fract_x
_atom_site_fract_y
_atom_site_fract_z
Dy1 0.2500 0.2500 0.2500
Np1 0.0000 0.0000 0.0000
Np2 0.2500 0.2500 0.7500
Se1 0.0000 0.0021 0.2560
Se2 0.2470 0.2500 0.0021
```

---

Entry 12:
Structure and calculated powder diffraction line list of DyNpTeSe2 (DFT lattice parameters and positions (GGA-PBE); Cu Kα).

Principal peaks in the range 2θ from 5° to 70°, in order of falling intensity:
Position (°2θ)  Rel. int.  h k l
27.38  100.0  1 0 3
39.49  46.7  2 0 0
48.72  42.0  2 1 3
37.99  41.0  1 1 4
27.64  33.0  1 1 0
30.52  29.8  1 1 2

Structure:
```
data_DyNpTeSe2
_cell_length_a 4.5643
_cell_length_b 4.5643
_cell_length_c 13.9507
_cell_angle_alpha 90.00
_cell_angle_beta 90.00
_cell_angle_gamma 90.00
_symmetry_space_group_name_H-M 'I 4 m m'
_symmetry_Int_Tables_number 107
_symmetry_space_group_name_Hall 'I 4 -2'
loop_
_atom_site_label
_atom_site_fract_x
_atom_site_fract_y
_atom_site_fract_z
Dy1 0.0000 0.0000 0.0000
Np1 0.0000 0.0000 0.2622
Te1 0.0000 0.0000 0.6383
Se1 0.0000 0.5000 0.3857
```